[1]
Starting from a GGA-PBE-relaxed structure, the XRD peak list of PuTiCl5 was calculated for Cu Kα, 1.54184 Å.

```
data_PuTiCl5
_chemical_formula_sum 'Pu2 Ti2 Cl10'
_space_group_name_H-M_alt 'P 1 21/m 1'
_space_group_IT_number 11
_space_group_name_Hall '-P 2yb'
_cell_length_a 7.637
_cell_length_b 3.807
_cell_length_c 12.479
_cell_angle_alpha 90.00
_cell_angle_beta 94.32
_cell_angle_gamma 90.00
loop_
_atom_site_label
_atom_site_type_symbol
_atom_site_fract_x
_atom_site_fract_y
_atom_site_fract_z
Pu1 Pu 0.100 0.250 0.152
Ti1 Ti 0.429 0.750 0.357
Cl1 Cl 0.088 0.750 0.321
Cl2 Cl 0.152 0.250 0.927
Cl3 Cl 0.331 0.250 0.480
Cl4 Cl 0.366 0.750 0.144
Cl5 Cl 0.385 0.750 0.698
```

Main lines, sorted by position (10° ≤ 2θ ≤ 80°):
| (hkl) | 2θ (°) | I (rel.) |
| --- | --- | --- |
| 1 0 0 | 11.62 | 22 |
| 1 0 -1 | 13.16 | 100 |
| 1 1 1 | 27.42 | 39 |
| 1 1 2 | 30.34 | 18 |
| 2 1 0 | 33.28 | 24 |
| 1 1 -3 | 33.48 | 18 |
| 2 1 -2 | 35.61 | 14 |
| 0 2 0 | 47.77 | 15 |

[2]
Starting from a GGA-PBE-relaxed structure, the XRD peak list of Pu3Tl2Cl10 was calculated for Cu Kα, 1.54184 Å.

```
data_Pu3Tl2Cl10
_chemical_formula_sum 'Pu12 Tl8 Cl40'
_space_group_name_H-M_alt 'C 1 2/m 1'
_space_group_IT_number 12
_space_group_name_Hall '-C 2y'
_cell_length_a 25.503
_cell_length_b 8.179
_cell_length_c 10.652
_cell_angle_alpha 90.00
_cell_angle_beta 111.08
_cell_angle_gamma 90.00
loop_
_atom_site_label
_atom_site_type_symbol
_atom_site_fract_x
_atom_site_fract_y
_atom_site_fract_z
Pu1 Pu 0.000 0.244 0.000
Pu2 Pu 0.077 0.500 0.474
Pu3 Pu 0.182 0.500 0.025
Tl1 Tl 0.135 0.000 0.667
Tl2 Tl 0.240 0.000 0.398
Cl1 Cl 0.000 0.277 0.500
Cl2 Cl 0.013 0.000 0.183
Cl3 Cl 0.017 0.500 0.190
Cl4 Cl 0.113 0.254 0.047
Cl5 Cl 0.133 0.500 0.747
Cl6 Cl 0.150 0.258 0.467
Cl7 Cl 0.241 0.500 0.294
Cl8 Cl 0.250 0.250 0.000
```

Main lines, sorted by position (10° ≤ 2θ ≤ 80°):
| (hkl) | 2θ (°) | I (rel.) |
| --- | --- | --- |
| 0 0 2 | 17.85 | 89 |
| 3 1 1 | 19.88 | 88 |
| 3 1 -2 | 20.46 | 86 |
| 6 0 -1 | 20.92 | 100 |
| 0 2 1 | 23.52 | 40 |
| 5 1 1 | 25.89 | 42 |
| 6 2 -1 | 30.34 | 67 |
| 8 2 2 | 46.48 | 45 |

[3]
Starting from a GGA-PBE-relaxed structure, the XRD peak list of PuTlCl6 was calculated for Cu Kα, 1.54184 Å.

```
data_PuTlCl6
_chemical_formula_sum 'Pu2 Tl2 Cl12'
_space_group_name_H-M_alt 'C 1 2/m 1'
_space_group_IT_number 12
_space_group_name_Hall '-C 2y'
_cell_length_a 7.450
_cell_length_b 11.550
_cell_length_c 7.079
_cell_angle_alpha 90.00
_cell_angle_beta 104.09
_cell_angle_gamma 90.00
loop_
_atom_site_label
_atom_site_type_symbol
_atom_site_fract_x
_atom_site_fract_y
_atom_site_fract_z
Pu1 Pu 0.000 0.000 0.000
Tl1 Tl 0.000 0.500 0.500
Cl1 Cl 0.180 0.153 0.224
Cl2 Cl 0.245 0.000 0.809
```

Main lines, sorted by position (10° ≤ 2θ ≤ 80°):
| (hkl) | 2θ (°) | I (rel.) |
| --- | --- | --- |
| 0 2 0 | 15.34 | 68 |
| 1 1 -1 | 17.30 | 100 |
| 1 1 1 | 21.34 | 58 |
| 2 2 0 | 29.16 | 22 |
| 0 2 2 | 30.29 | 24 |
| 1 3 1 | 30.67 | 50 |
| 2 0 -2 | 31.27 | 22 |
| 2 2 2 | 43.46 | 18 |

[4]
Starting from a GGA-PBE-relaxed structure, the XRD peak list of Pu2TlCl7 was calculated for Cu Kα, 1.54184 Å.

```
data_Pu2TlCl7
_chemical_formula_sum 'Pu4 Tl2 Cl14'
_space_group_name_H-M_alt 'C m m m'
_space_group_IT_number 65
_space_group_name_Hall '-C 2 2'
_cell_length_a 8.681
_cell_length_b 13.934
_cell_length_c 5.382
_cell_angle_alpha 90.00
_cell_angle_beta 90.00
_cell_angle_gamma 90.00
loop_
_atom_site_label
_atom_site_type_symbol
_atom_site_fract_x
_atom_site_fract_y
_atom_site_fract_z
Pu1 Pu 0.000 0.196 0.000
Tl1 Tl 0.000 0.500 0.500
Cl1 Cl 0.000 0.000 0.000
Cl2 Cl 0.000 0.206 0.500
Cl3 Cl 0.187 0.361 0.000
```

Main lines, sorted by position (10° ≤ 2θ ≤ 80°):
| (hkl) | 2θ (°) | I (rel.) |
| --- | --- | --- |
| 0 0 1 | 16.47 | 27 |
| 2 0 0 | 20.45 | 100 |
| 0 2 1 | 20.86 | 49 |
| 1 3 0 | 21.70 | 62 |
| 2 2 1 | 29.38 | 36 |
| 0 0 2 | 33.29 | 28 |
| 3 3 0 | 36.59 | 28 |
| 1 5 1 | 37.80 | 40 |

[5]
Starting from a GGA-PBE-relaxed structure, the XRD peak list of Pu2Tl3Cl9 was calculated for Cu Kα, 1.54184 Å.

```
data_Pu2Tl3Cl9
_chemical_formula_sum 'Pu12 Tl18 Cl54'
_space_group_name_H-M_alt 'R -3 c'
_space_group_IT_number 167
_space_group_name_Hall '-R 3 2"c'
_cell_length_a 13.2088
_cell_length_b 13.2088
_cell_length_c 18.0054
_cell_angle_alpha 90.00
_cell_angle_beta 90.00
_cell_angle_gamma 120.00
loop_
_atom_site_label
_atom_site_type_symbol
_atom_site_fract_x
_atom_site_fract_y
_atom_site_fract_z
Pu1 Pu 0.0000 0.0000 0.1434
Tl1 Tl 0.0000 0.3041 0.2500
Cl1 Cl 0.0000 0.1524 0.7500
Cl2 Cl 0.0284 0.1961 0.4158
```

Main lines, sorted by position (10° ≤ 2θ ≤ 80°):
| (hkl) | 2θ (°) | I (rel.) |
| --- | --- | --- |
| 1 1 3 | 19.99 | 57 |
| 1 0 4 | 21.18 | 27 |
| 3 0 0 | 23.33 | 100 |
| 0 2 4 | 25.18 | 30 |
| 2 1 4 | 28.63 | 28 |
| 2 2 3 | 30.91 | 62 |
| 1 1 6 | 32.80 | 40 |
| 2 2 6 | 40.62 | 30 |

[6]
Starting from a GGA-PBE-relaxed structure, the XRD peak list of Pu6Tl4Cl19 was calculated for Cu Kα, 1.54184 Å.

```
data_Pu6Tl4Cl19
_chemical_formula_sum 'Pu12 Tl8 Cl38'
_space_group_name_H-M_alt 'I 2 3'
_space_group_IT_number 197
_space_group_name_Hall 'I 2 2 3'
_cell_length_a 12.603
_cell_length_b 12.603
_cell_length_c 12.603
_cell_angle_alpha 90.00
_cell_angle_beta 90.00
_cell_angle_gamma 90.00
loop_
_atom_site_label
_atom_site_type_symbol
_atom_site_fract_x
_atom_site_fract_y
_atom_site_fract_z
Pu1 Pu 0.000 0.333 0.500
Tl1 Tl 0.143 0.143 0.857
Cl1 Cl 0.000 0.000 0.000
Cl2 Cl 0.000 0.000 0.356
Cl3 Cl 0.016 0.311 0.282
```

Main lines, sorted by position (10° ≤ 2θ ≤ 80°):
| (hkl) | 2θ (°) | I (rel.) |
| --- | --- | --- |
| 2 0 0 | 14.05 | 23 |
| 2 1 1 | 17.23 | 41 |
| 3 1 0 | 22.31 | 100 |
| 3 2 1 | 26.46 | 73 |
| 4 1 3 | 36.35 | 64 |
| 6 0 0 | 43.06 | 40 |
| 5 3 2 | 44.30 | 24 |
| 7 3 4 | 63.50 | 25 |

[7]
Starting from a GGA-PBE-relaxed structure, the XRD peak list of Pu2TlCl8 was calculated for Cu Kα, 1.54184 Å.

```
data_Pu2TlCl8
_chemical_formula_sum 'Pu4 Tl2 Cl16'
_space_group_name_H-M_alt 'C 1 2/m 1'
_space_group_IT_number 12
_space_group_name_Hall '-C 2y'
_cell_length_a 12.462
_cell_length_b 8.304
_cell_length_c 7.830
_cell_angle_alpha 90.00
_cell_angle_beta 101.39
_cell_angle_gamma 90.00
loop_
_atom_site_label
_atom_site_type_symbol
_atom_site_fract_x
_atom_site_fract_y
_atom_site_fract_z
Pu1 Pu 0.227 0.000 0.480
Tl1 Tl 0.000 0.500 0.000
Cl1 Cl 0.124 0.282 0.357
Cl2 Cl 0.127 0.000 0.731
Cl3 Cl 0.191 0.500 0.796
```

Main lines, sorted by position (10° ≤ 2θ ≤ 80°):
| (hkl) | 2θ (°) | I (rel.) |
| --- | --- | --- |
| 0 0 1 | 11.53 | 68 |
| 2 0 -1 | 16.67 | 100 |
| 1 1 1 | 18.27 | 42 |
| 2 0 1 | 20.29 | 60 |
| 0 2 0 | 21.40 | 64 |
| 2 2 1 | 29.66 | 90 |
| 4 2 0 | 36.52 | 36 |
| 4 2 -2 | 40.27 | 34 |

[8]
Starting from a GGA-PBE-relaxed structure, the XRD peak list of PuZn3Cl9 was calculated for Cu Kα, 1.54184 Å.

```
data_PuZn3Cl9
_chemical_formula_sum 'Pu4 Zn12 Cl36'
_space_group_name_H-M_alt 'C 1 c 1'
_space_group_IT_number 9
_space_group_name_Hall 'C -2yc'
_cell_length_a 18.167
_cell_length_b 8.921
_cell_length_c 12.868
_cell_angle_alpha 90.00
_cell_angle_beta 129.01
_cell_angle_gamma 90.00
loop_
_atom_site_label
_atom_site_type_symbol
_atom_site_fract_x
_atom_site_fract_y
_atom_site_fract_z
Pu1 Pu 0.000 0.229 0.000
Zn1 Zn 0.145 0.123 0.830
Zn2 Zn 0.229 0.426 0.706
Zn3 Zn 0.354 0.076 0.663
Cl1 Cl 0.021 0.085 0.831
Cl2 Cl 0.119 0.352 0.730
Cl3 Cl 0.145 0.061 0.205
Cl4 Cl 0.155 0.376 0.058
Cl5 Cl 0.238 0.254 0.580
Cl6 Cl 0.298 0.130 0.026
Cl7 Cl 0.365 0.494 0.407
Cl8 Cl 0.403 0.015 0.365
Cl9 Cl 0.477 0.184 0.683
```

Main lines, sorted by position (10° ≤ 2θ ≤ 80°):
| (hkl) | 2θ (°) | I (rel.) |
| --- | --- | --- |
| 1 1 -1 | 12.09 | 41 |
| 2 0 -2 | 13.83 | 20 |
| 1 1 1 | 16.94 | 100 |
| 3 1 -1 | 17.96 | 23 |
| 3 1 -2 | 18.66 | 24 |
| 3 1 -3 | 23.10 | 28 |
| 0 2 2 | 26.79 | 20 |
| 8 0 -4 | 39.93 | 20 |

[9]
Starting from a GGA-PBE-relaxed structure, the XRD peak list of PuZrCl5 was calculated for Cu Kα, 1.54184 Å.

```
data_PuZrCl5
_chemical_formula_sum 'Pu2 Zr2 Cl10'
_space_group_name_H-M_alt 'P 1 21/m 1'
_space_group_IT_number 11
_space_group_name_Hall '-P 2yb'
_cell_length_a 8.137
_cell_length_b 3.544
_cell_length_c 13.661
_cell_angle_alpha 90.00
_cell_angle_beta 90.80
_cell_angle_gamma 90.00
loop_
_atom_site_label
_atom_site_type_symbol
_atom_site_fract_x
_atom_site_fract_y
_atom_site_fract_z
Pu1 Pu 0.079 0.250 0.363
Zr1 Zr 0.353 0.750 0.181
Cl1 Cl 0.037 0.750 0.205
Cl2 Cl 0.161 0.250 0.568
Cl3 Cl 0.283 0.250 0.048
Cl4 Cl 0.346 0.750 0.370
Cl5 Cl 0.418 0.750 0.792
```

Main lines, sorted by position (10° ≤ 2θ ≤ 80°):
| (hkl) | 2θ (°) | I (rel.) |
| --- | --- | --- |
| 1 0 0 | 10.87 | 24 |
| 1 0 1 | 12.74 | 100 |
| 1 0 -3 | 22.24 | 18 |
| 2 0 -2 | 25.33 | 14 |
| 1 1 -1 | 28.20 | 19 |
| 1 1 -2 | 30.40 | 23 |
| 2 1 0 | 33.55 | 29 |
| 1 1 3 | 33.98 | 16 |

[10]
Starting from a GGA-PBE-relaxed structure, the XRD peak list of RbCl8 was calculated for Cu Kα, 1.54184 Å.

```
data_RbCl8
_chemical_formula_sum 'Rb2 Cl16'
_space_group_name_H-M_alt 'C 1 m 1'
_space_group_IT_number 8
_space_group_name_Hall 'C -2y'
_cell_length_a 12.122
_cell_length_b 7.073
_cell_length_c 8.691
_cell_angle_alpha 90.00
_cell_angle_beta 121.30
_cell_angle_gamma 90.00
loop_
_atom_site_label
_atom_site_type_symbol
_atom_site_fract_x
_atom_site_fract_y
_atom_site_fract_z
Rb1 Rb 0.000 0.000 0.000
Cl1 Cl 0.057 0.000 0.604
Cl2 Cl 0.126 0.500 0.075
Cl3 Cl 0.167 0.500 0.801
Cl4 Cl 0.218 0.500 0.606
Cl5 Cl 0.272 0.000 0.408
Cl6 Cl 0.332 0.000 0.221
Cl7 Cl 0.372 0.500 0.388
Cl8 Cl 0.382 0.000 0.964
```

Main lines, sorted by position (10° ≤ 2θ ≤ 80°):
| (hkl) | 2θ (°) | I (rel.) |
| --- | --- | --- |
| 2 0 -2 | 20.98 | 48 |
| 0 2 0 | 25.18 | 100 |
| 2 0 1 | 25.57 | 27 |
| 3 1 -2 | 27.54 | 26 |
| 3 1 0 | 28.77 | 52 |
| 2 2 -2 | 33.00 | 28 |
| 3 1 1 | 36.21 | 48 |
| 5 1 -3 | 41.74 | 17 |

[11]
Starting from a GGA-PBE-relaxed structure, the XRD peak list of RbReCl4 was calculated for Cu Kα, 1.54184 Å.

```
data_RbReCl4
_chemical_formula_sum 'Rb12 Re12 Cl48'
_space_group_name_H-M_alt 'C m c m'
_space_group_IT_number 63
_space_group_name_Hall '-C 2c 2'
_cell_length_a 10.990
_cell_length_b 14.993
_cell_length_c 12.630
_cell_angle_alpha 90.00
_cell_angle_beta 90.00
_cell_angle_gamma 90.00
loop_
_atom_site_label
_atom_site_type_symbol
_atom_site_fract_x
_atom_site_fract_y
_atom_site_fract_z
Rb1 Rb 0.000 0.248 0.250
Rb2 Rb 0.240 0.000 0.000
Re1 Re 0.000 0.216 0.652
Re2 Re 0.000 0.359 0.750
Cl1 Cl 0.000 0.077 0.750
Cl2 Cl 0.000 0.130 0.030
Cl3 Cl 0.000 0.358 0.557
Cl4 Cl 0.000 0.468 0.250
Cl5 Cl 0.207 0.201 0.624
Cl6 Cl 0.209 0.388 0.750
```

Main lines, sorted by position (10° ≤ 2θ ≤ 80°):
| (hkl) | 2θ (°) | I (rel.) |
| --- | --- | --- |
| 0 2 0 | 11.81 | 21 |
| 1 1 1 | 12.20 | 100 |
| 2 0 0 | 16.13 | 20 |
| 0 2 2 | 18.37 | 12 |
| 2 2 0 | 20.04 | 25 |
| 2 0 2 | 21.44 | 17 |
| 4 0 0 | 32.59 | 19 |
| 0 2 5 | 37.61 | 10 |